Entry 1:
For Er6AgPd, a DFT-relaxed cell (GGA-PBE, Alexandria) gives the theoretical powder X-ray diffraction pattern in this record (Cu Kα, 1.54184 Å).
Peak positions follow from Bragg's law for the DFT cell and can differ from measured ones.

Largest 6 diffraction maxima, by angle, 10° ≤ 2θ ≤ 90°:
(1 1 4), 2θ = 33.08°, I 100.0
(2 0 0), 2θ = 35.43°, I 49.0
(2 2 0), 2θ = 50.98°, I 18.8
(2 0 8), 2θ = 57.54°, I 12.3
(1 1 10), 2θ = 61.77°, I 12.6
(3 1 4), 2θ = 62.13°, I 32.5

Atomic structure:
Cell: 5.0666 5.0666 16.5396 Å, 90.00 90.00 90.00°
Fractional coordinates of all 16 atoms:
Er (0.0000, 0.0000, 0.2495)
Er (0.0000, 0.0000, 0.7505)
Er (0.0000, 0.5000, 0.1034)
Er (0.0000, 0.5000, 0.3966)
Er (0.0000, 0.5000, 0.6034)
Er (0.0000, 0.5000, 0.8966)
Er (0.5000, 0.0000, 0.1034)
Er (0.5000, 0.0000, 0.3966)
Er (0.5000, 0.0000, 0.6034)
Er (0.5000, 0.0000, 0.8966)
Er (0.5000, 0.5000, 0.2505)
Er (0.5000, 0.5000, 0.7495)
Ag (0.0000, 0.0000, 0.0000)
Ag (0.5000, 0.5000, 0.5000)
Pd (0.0000, 0.0000, 0.5000)
Pd (0.5000, 0.5000, 0.0000)

***

Entry 2:
For Er2AgPd3, a DFT-relaxed cell (GGA-PBE, Alexandria) gives the theoretical powder X-ray diffraction pattern in this record (Cu Kα, 1.54184 Å).
Peak positions follow from Bragg's law for the DFT cell and can differ from measured ones.

Largest 6 diffraction maxima, by angle, 10° ≤ 2θ ≤ 90°:
(1 1 4), 2θ = 33.54°, I 31.2
(2 1 1), 2θ = 35.04°, I 37.9
(2 1 2), 2θ = 36.18°, I 54.8
(1 1 5), 2θ = 36.99°, I 100.0
(2 1 3), 2θ = 38.02°, I 26.1
(0 2 0), 2θ = 47.27°, I 34.3

Atomic structure:
Cell: 6.9993 3.8461 17.5353 Å, 90.00 90.00 90.00°
Fractional coordinates of all 24 atoms:
Er (0.1779, 0.2500, 0.1942)
Er (0.2216, 0.2500, 0.4097)
Er (0.2784, 0.7500, 0.9097)
Er (0.3221, 0.7500, 0.6942)
Er (0.6779, 0.2500, 0.3058)
Er (0.7216, 0.2500, 0.0903)
Er (0.7784, 0.7500, 0.5903)
Er (0.8221, 0.7500, 0.8058)
Ag (0.0634, 0.7500, 0.0609)
Ag (0.4366, 0.2500, 0.5609)
Ag (0.5634, 0.7500, 0.4391)
Ag (0.9366, 0.2500, 0.9391)
Pd (0.0410, 0.2500, 0.6440)
Pd (0.1437, 0.2500, 0.7970)
Pd (0.1482, 0.7500, 0.5278)
Pd (0.3518, 0.2500, 0.0278)
Pd (0.3563, 0.7500, 0.2970)
Pd (0.4590, 0.7500, 0.1440)
Pd (0.5410, 0.2500, 0.8560)
Pd (0.6437, 0.2500, 0.7030)
Pd (0.6482, 0.7500, 0.9722)
Pd (0.8518, 0.2500, 0.4722)
Pd (0.8563, 0.7500, 0.2030)
Pd (0.9590, 0.7500, 0.3560)

***

Entry 3:
For PmEr4Ag5, a DFT-relaxed cell (GGA-PBE, Alexandria) gives the theoretical powder X-ray diffraction pattern in this record (Cu Kα, 1.54184 Å).
Peak positions follow from Bragg's law for the DFT cell and can differ from measured ones.

Largest 6 diffraction maxima, by angle, 10° ≤ 2θ ≤ 90°:
(1 0 5), 2θ = 34.81°, I 100.0
(1 1 0), 2θ = 35.34°, I 49.0
(2 0 0), 2θ = 50.85°, I 17.2
(1 1 10), 2θ = 62.07°, I 17.1
(2 1 5), 2θ = 63.10°, I 34.6
(2 0 10), 2θ = 73.50°, I 10.3

Atomic structure:
Cell: 3.5916 3.5916 18.4991 Å, 90.00 90.00 90.00°
Fractional coordinates of all 10 atoms:
Pm (0.0000, 0.0000, 0.0000)
Er (0.0000, 0.0000, 0.2045)
Er (0.0000, 0.0000, 0.4014)
Er (0.0000, 0.0000, 0.5986)
Er (0.0000, 0.0000, 0.7955)
Ag (0.5000, 0.5000, 0.1095)
Ag (0.5000, 0.5000, 0.3030)
Ag (0.5000, 0.5000, 0.5000)
Ag (0.5000, 0.5000, 0.6970)
Ag (0.5000, 0.5000, 0.8905)

***

Entry 4:
For Pr2ErAg, a DFT-relaxed cell (GGA-PBE, Alexandria) gives the theoretical powder X-ray diffraction pattern in this record (Cu Kα, 1.54184 Å).
Peak positions follow from Bragg's law for the DFT cell and can differ from measured ones.

Largest 6 diffraction maxima, by angle, 10° ≤ 2θ ≤ 90°:
(1 0 2), 2θ = 31.49°, I 100.0
(1 1 0), 2θ = 33.95°, I 43.7
(0 0 4), 2θ = 41.24°, I 9.7
(2 0 0), 2θ = 48.77°, I 15.7
(1 1 4), 2θ = 54.44°, I 17.1
(2 1 2), 2θ = 59.22°, I 32.6

Atomic structure:
Cell: 3.7342 3.7342 8.7566 Å, 90.00 90.00 90.00°
Fractional coordinates of all 4 atoms:
Pr (0.0000, 0.0000, 0.2212)
Pr (0.0000, 0.0000, 0.7788)
Er (0.5000, 0.5000, 0.5000)
Ag (0.5000, 0.5000, 0.0000)

***

Entry 5:
For PrErTcAg, a DFT-relaxed cell (GGA-PBE, Alexandria) gives the theoretical powder X-ray diffraction pattern in this record (Cu Kα, 1.54184 Å).
Peak positions follow from Bragg's law for the DFT cell and can differ from measured ones.

Largest 6 diffraction maxima, by angle, 10° ≤ 2θ ≤ 90°:
(2 0 0), 2θ = 24.93°, I 3.9
(2 2 0), 2θ = 35.54°, I 100.0
(4 0 0), 2θ = 51.14°, I 17.5
(4 2 2), 2θ = 63.83°, I 35.5
(4 4 0), 2θ = 75.24°, I 10.9
(6 2 0), 2θ = 86.08°, I 15.7

Atomic structure:
Cell: 7.1440 7.1440 7.1440 Å, 90.00 90.00 90.00°
Fractional coordinates of all 16 atoms:
Pr (0.0000, 0.0000, 0.0000)
Pr (0.0000, 0.5000, 0.5000)
Pr (0.5000, 0.0000, 0.5000)
Pr (0.5000, 0.5000, 0.0000)
Er (0.0000, 0.0000, 0.5000)
Er (0.0000, 0.5000, 0.0000)
Er (0.5000, 0.0000, 0.0000)
Er (0.5000, 0.5000, 0.5000)
Tc (0.2500, 0.2500, 0.7500)
Tc (0.2500, 0.7500, 0.2500)
Tc (0.7500, 0.2500, 0.2500)
Tc (0.7500, 0.7500, 0.7500)
Ag (0.2500, 0.2500, 0.2500)
Ag (0.2500, 0.7500, 0.7500)
Ag (0.7500, 0.2500, 0.7500)
Ag (0.7500, 0.7500, 0.2500)

***

Entry 6:
For PrYErAg, a DFT-relaxed cell (GGA-PBE, Alexandria) gives the theoretical powder X-ray diffraction pattern in this record (Cu Kα, 1.54184 Å).
Peak positions follow from Bragg's law for the DFT cell and can differ from measured ones.

Largest 6 diffraction maxima, by angle, 10° ≤ 2θ ≤ 90°:
(0 0 1), 2θ = 10.05°, I 12.4
(1 0 2), 2θ = 31.97°, I 100.0
(1 1 0), 2θ = 34.98°, I 45.9
(2 0 0), 2θ = 50.30°, I 16.2
(1 1 4), 2θ = 54.98°, I 12.8
(2 1 2), 2θ = 60.85°, I 30.9

Atomic structure:
Cell: 3.6279 3.6279 8.8024 Å, 90.00 90.00 90.00°
Fractional coordinates of all 4 atoms:
Pr (0.0000, 0.0000, 0.0000)
Y (0.5000, 0.5000, 0.7022)
Er (0.5000, 0.5000, 0.2918)
Ag (0.0000, 0.0000, 0.4900)

***

Entry 7:
For Er2AgPt, a DFT-relaxed cell (GGA-PBE, Alexandria) gives the theoretical powder X-ray diffraction pattern in this record (Cu Kα, 1.54184 Å).
Peak positions follow from Bragg's law for the DFT cell and can differ from measured ones.

Largest 6 diffraction maxima, by angle, 10° ≤ 2θ ≤ 90°:
(1 1 1), 2θ = 21.87°, I 3.5
(2 2 0), 2θ = 36.09°, I 100.0
(4 0 0), 2θ = 51.96°, I 17.7
(4 2 2), 2θ = 64.89°, I 36.1
(4 4 0), 2θ = 76.56°, I 11.2
(6 2 0), 2θ = 87.68°, I 16.4

Atomic structure:
Cell: 7.0394 7.0394 7.0394 Å, 90.00 90.00 90.00°
Fractional coordinates of all 16 atoms:
Er (0.2500, 0.2500, 0.2500)
Er (0.2500, 0.2500, 0.7500)
Er (0.2500, 0.7500, 0.2500)
Er (0.2500, 0.7500, 0.7500)
Er (0.7500, 0.2500, 0.2500)
Er (0.7500, 0.2500, 0.7500)
Er (0.7500, 0.7500, 0.2500)
Er (0.7500, 0.7500, 0.7500)
Ag (0.0000, 0.0000, 0.0000)
Ag (0.0000, 0.5000, 0.5000)
Ag (0.5000, 0.0000, 0.5000)
Ag (0.5000, 0.5000, 0.0000)
Pt (0.0000, 0.0000, 0.5000)
Pt (0.0000, 0.5000, 0.0000)
Pt (0.5000, 0.0000, 0.0000)
Pt (0.5000, 0.5000, 0.5000)

***

Entry 8:
For Er3AgPt2, a DFT-relaxed cell (GGA-PBE, Alexandria) gives the theoretical powder X-ray diffraction pattern in this record (Cu Kα, 1.54184 Å).
Peak positions follow from Bragg's law for the DFT cell and can differ from measured ones.

Largest 6 diffraction maxima, by angle, 10° ≤ 2θ ≤ 90°:
(1 1 0), 2θ = 36.19°, I 100.0
(2 0 0), 2θ = 52.02°, I 12.0
(2 1 3), 2θ = 65.03°, I 24.1
(1 1 6), 2θ = 65.22°, I 11.2
(2 0 6), 2θ = 76.89°, I 7.0
(3 1 0), 2θ = 87.83°, I 11.1

Atomic structure:
Cell: 3.5158 3.5158 10.4944 Å, 90.00 90.00 90.00°
Fractional coordinates of all 6 atoms:
Er (0.0000, 0.0000, 0.0000)
Er (0.0000, 0.0000, 0.3202)
Er (0.0000, 0.0000, 0.6798)
Ag (0.5000, 0.5000, 0.5000)
Pt (0.5000, 0.5000, 0.1636)
Pt (0.5000, 0.5000, 0.8364)

***

Copy entry 7 word for word.
For Er2AgPt, a DFT-relaxed cell (GGA-PBE, Alexandria) gives the theoretical powder X-ray diffraction pattern in this record (Cu Kα, 1.54184 Å).
Peak positions follow from Bragg's law for the DFT cell and can differ from measured ones.

Largest 6 diffraction maxima, by angle, 10° ≤ 2θ ≤ 90°:
(1 1 1), 2θ = 21.87°, I 3.5
(2 2 0), 2θ = 36.09°, I 100.0
(4 0 0), 2θ = 51.96°, I 17.7
(4 2 2), 2θ = 64.89°, I 36.1
(4 4 0), 2θ = 76.56°, I 11.2
(6 2 0), 2θ = 87.68°, I 16.4

Atomic structure:
Cell: 7.0394 7.0394 7.0394 Å, 90.00 90.00 90.00°
Fractional coordinates of all 16 atoms:
Er (0.2500, 0.2500, 0.2500)
Er (0.2500, 0.2500, 0.7500)
Er (0.2500, 0.7500, 0.2500)
Er (0.2500, 0.7500, 0.7500)
Er (0.7500, 0.2500, 0.2500)
Er (0.7500, 0.2500, 0.7500)
Er (0.7500, 0.7500, 0.2500)
Er (0.7500, 0.7500, 0.7500)
Ag (0.0000, 0.0000, 0.0000)
Ag (0.0000, 0.5000, 0.5000)
Ag (0.5000, 0.0000, 0.5000)
Ag (0.5000, 0.5000, 0.0000)
Pt (0.0000, 0.0000, 0.5000)
Pt (0.0000, 0.5000, 0.0000)
Pt (0.5000, 0.0000, 0.0000)
Pt (0.5000, 0.5000, 0.5000)

***

What did the second record say?
For Er2AgPd3, a DFT-relaxed cell (GGA-PBE, Alexandria) gives the theoretical powder X-ray diffraction pattern in this record (Cu Kα, 1.54184 Å).
Peak positions follow from Bragg's law for the DFT cell and can differ from measured ones.

Largest 6 diffraction maxima, by angle, 10° ≤ 2θ ≤ 90°:
(1 1 4), 2θ = 33.54°, I 31.2
(2 1 1), 2θ = 35.04°, I 37.9
(2 1 2), 2θ = 36.18°, I 54.8
(1 1 5), 2θ = 36.99°, I 100.0
(2 1 3), 2θ = 38.02°, I 26.1
(0 2 0), 2θ = 47.27°, I 34.3

Atomic structure:
Cell: 6.9993 3.8461 17.5353 Å, 90.00 90.00 90.00°
Fractional coordinates of all 24 atoms:
Er (0.1779, 0.2500, 0.1942)
Er (0.2216, 0.2500, 0.4097)
Er (0.2784, 0.7500, 0.9097)
Er (0.3221, 0.7500, 0.6942)
Er (0.6779, 0.2500, 0.3058)
Er (0.7216, 0.2500, 0.0903)
Er (0.7784, 0.7500, 0.5903)
Er (0.8221, 0.7500, 0.8058)
Ag (0.0634, 0.7500, 0.0609)
Ag (0.4366, 0.2500, 0.5609)
Ag (0.5634, 0.7500, 0.4391)
Ag (0.9366, 0.2500, 0.9391)
Pd (0.0410, 0.2500, 0.6440)
Pd (0.1437, 0.2500, 0.7970)
Pd (0.1482, 0.7500, 0.5278)
Pd (0.3518, 0.2500, 0.0278)
Pd (0.3563, 0.7500, 0.2970)
Pd (0.4590, 0.7500, 0.1440)
Pd (0.5410, 0.2500, 0.8560)
Pd (0.6437, 0.2500, 0.7030)
Pd (0.6482, 0.7500, 0.9722)
Pd (0.8518, 0.2500, 0.4722)
Pd (0.8563, 0.7500, 0.2030)
Pd (0.9590, 0.7500, 0.3560)